1.
Structure and calculated X-ray diffraction stick pattern of NaFe2I8 (a PBE-relaxed structure; Cu Kα, 1.54184 Å).

Atomic structure:
Lattice parameters (Å, degrees): 15.4783 9.3781 7.1401 90.00 98.63 90.00
Space group C2/m (No. 12)
Inequivalent atoms, fractional coordinates:
Na1 0.0000 0.0000 0.0000 (multiplicity 2)
Fe1 0.1803 0.0000 0.6598 (multiplicity 4)
I1 0.1009 0.2191 0.7567 (multiplicity 8)
I2 0.1615 0.5000 0.1977 (multiplicity 4)
I3 0.1789 0.0000 0.3055 (multiplicity 4)

Most intense lines, 2θ from 5° to 70°, sorted by position:
index, 2theta, d [Å], I_rel
2 2 0, 22.2, 3.998, 31
4 0 0, 23.3, 3.826, 25
2 2 -1, 24.7, 3.601, 100
0 0 2, 25.2, 3.530, 45
2 2 1, 26.5, 3.368, 44
6 2 0, 40.3, 2.241, 29



2.
Structure and calculated X-ray diffraction stick pattern of NaSrFe2I8 (a PBE-relaxed structure; Cu Kα, 1.54184 Å).

Atomic structure:
Lattice parameters (Å, degrees): 8.4934 8.4934 9.0364 90.00 90.00 120.00
Space group P-3 (No. 147)
Inequivalent atoms, fractional coordinates:
Na1 0.0000 0.0000 0.0000 (multiplicity 1)
Sr1 0.0000 0.0000 0.5000 (multiplicity 1)
Fe1 0.3333 0.6667 0.3443 (multiplicity 2)
I1 0.1648 0.3315 0.2434 (multiplicity 6)
I2 0.3333 0.6667 0.6204 (multiplicity 2)

Most intense lines, 2θ from 5° to 70°, sorted by position:
index, 2theta, d [Å], I_rel
0 0 1, 9.8, 9.036, 25
0 0 2, 19.6, 4.518, 29
1 1 1, 23.1, 3.844, 33
0 2 1, 26.2, 3.406, 100
2 0 2, 31.4, 2.852, 31
2 2 0, 42.6, 2.123, 39



3.
Structure and calculated X-ray diffraction stick pattern of NaTlFeI4 (a PBE-relaxed structure; Cu Kα, 1.54184 Å).

Atomic structure:
Lattice parameters (Å, degrees): 7.9022 7.9022 11.7902 90.00 90.00 90.00
Space group I-4 (No. 82)
Inequivalent atoms, fractional coordinates:
Na1 0.0000 0.0000 0.0000 (multiplicity 2)
Tl1 0.0000 0.0000 0.5000 (multiplicity 2)
Fe1 0.0000 0.5000 0.2500 (multiplicity 2)
I1 0.1850 0.2807 0.1364 (multiplicity 8)

Most intense lines, 2θ from 5° to 70°, sorted by position:
index, 2theta, d [Å], I_rel
1 0 1, 13.5, 6.564, 52
1 1 2, 21.9, 4.055, 100
2 1 1, 26.3, 3.385, 36
2 2 0, 32.0, 2.794, 24
2 0 4, 38.1, 2.363, 38
3 1 2, 39.2, 2.301, 23



4.
Structure and calculated X-ray diffraction stick pattern of Nd7FeI12 (a PBE-relaxed structure; Cu Kα, 1.54184 Å).

Atomic structure:
Lattice parameters (Å, degrees): 16.0655 16.0655 11.2462 90.00 90.00 120.00
Space group R-3 (No. 148, hexagonal axes)
Inequivalent atoms, fractional coordinates:
Nd1 0.0000 0.0000 0.0000 (multiplicity 3)
Nd2 0.0420 0.1569 0.3630 (multiplicity 18)
Fe1 0.0000 0.0000 0.5000 (multiplicity 3)
I1 0.0205 0.5868 0.1594 (multiplicity 18)
I2 0.0485 0.1767 0.8354 (multiplicity 18)

Most intense lines, 2θ from 5° to 70°, sorted by position:
index, 2theta, d [Å], I_rel
1 1 0, 11.0, 8.033, 22
4 -3 1, 24.4, 3.650, 14
3 1 2, 28.0, 3.182, 100
4 -3 4, 39.7, 2.272, 35
2 5 0, 40.5, 2.228, 35
8 -6 2, 50.0, 1.825, 18



5.
Structure and calculated X-ray diffraction stick pattern of PaFeI6 (a PBE-relaxed structure; Cu Kα, 1.54184 Å).

Atomic structure:
Lattice parameters (Å, degrees): 8.0960 13.8276 6.8270 90.00 90.64 90.00
Space group C2/m (No. 12)
Inequivalent atoms, fractional coordinates:
Pa1 0.0000 0.0000 0.0000 (multiplicity 2)
Fe1 0.0000 0.0000 0.5000 (multiplicity 2)
I1 0.1461 0.1485 0.7357 (multiplicity 8)
I2 0.2072 0.5000 0.7310 (multiplicity 4)

Most intense lines, 2θ from 5° to 70°, sorted by position:
index, 2theta, d [Å], I_rel
1 1 0, 12.7, 6.986, 82
0 2 0, 12.8, 6.914, 38
2 0 1, 25.7, 3.464, 100
1 3 1, 25.9, 3.446, 17
1 3 2, 34.6, 2.592, 32
3 3 0, 38.7, 2.329, 28



6.
Structure and calculated X-ray diffraction stick pattern of Fe3PbI9 (a PBE-relaxed structure; Cu Kα, 1.54184 Å).

Atomic structure:
Lattice parameters (Å, degrees): 20.5560 10.3260 14.7891 90.00 130.35 90.00
Space group Cc (No. 9)
Inequivalent atoms, fractional coordinates:
Fe1 0.0000 0.0806 0.0000 (multiplicity 4)
Fe2 0.2894 0.3881 0.6604 (multiplicity 4)
Fe3 0.3737 0.0868 0.5389 (multiplicity 4)
Pb1 0.1401 0.2737 0.8267 (multiplicity 4)
I1 0.0141 0.4652 0.2470 (multiplicity 4)
I2 0.0481 0.0107 0.2016 (multiplicity 4)
I3 0.1268 0.1793 0.0268 (multiplicity 4)
I4 0.1646 0.4280 0.6575 (multiplicity 4)
I5 0.2590 0.1640 0.5545 (multiplicity 4)
I6 0.2988 0.4318 0.0488 (multiplicity 4)
I7 0.3062 0.1132 0.9021 (multiplicity 4)
I8 0.3739 0.2545 0.4025 (multiplicity 4)
I9 0.4443 0.3696 0.8675 (multiplicity 4)

Most intense lines, 2θ from 5° to 70°, sorted by position:
index, 2theta, d [Å], I_rel
1 1 1, 15.0, 5.907, 93
5 1 -2, 23.4, 3.801, 100
3 1 1, 24.5, 3.632, 43
2 2 -3, 25.3, 3.516, 87
2 0 -4, 25.8, 3.454, 62
7 1 -1, 36.6, 2.456, 42



7.
Structure and calculated X-ray diffraction stick pattern of Fe2PbI8 (a PBE-relaxed structure; Cu Kα, 1.54184 Å).

Atomic structure:
Lattice parameters (Å, degrees): 13.8472 11.3843 7.2248 90.00 97.67 90.00
Space group C2/m (No. 12)
Inequivalent atoms, fractional coordinates:
Fe1 0.2003 0.0000 0.1517 (multiplicity 4)
Pb1 0.0000 0.0000 0.5000 (multiplicity 2)
I1 0.1102 0.1830 0.2554 (multiplicity 8)
I2 0.1248 0.5000 0.7060 (multiplicity 4)
I3 0.2018 0.0000 0.7955 (multiplicity 4)

Most intense lines, 2θ from 5° to 70°, sorted by position:
index, 2theta, d [Å], I_rel
1 1 0, 10.1, 8.762, 57
0 2 0, 15.6, 5.692, 32
2 2 -1, 22.9, 3.887, 100
3 1 1, 25.7, 3.468, 52
1 3 2, 35.7, 2.512, 35
5 3 0, 40.6, 2.224, 35



8.
Structure and calculated X-ray diffraction stick pattern of FePdI5 (a PBE-relaxed structure; Cu Kα, 1.54184 Å).

Atomic structure:
Lattice parameters (Å, degrees): 9.1681 12.5938 10.2889 90.00 113.65 90.00
Space group C2/c (No. 15)
Inequivalent atoms, fractional coordinates:
Fe1 0.0000 0.2009 0.2500 (multiplicity 4)
Pd1 0.0000 0.5000 0.0000 (multiplicity 4)
I1 0.0000 0.4130 0.7500 (multiplicity 4)
I2 0.1455 0.3124 0.1314 (multiplicity 8)
I3 0.1868 0.0778 0.4408 (multiplicity 8)

Most intense lines, 2θ from 5° to 70°, sorted by position:
index, 2theta, d [Å], I_rel
1 1 0, 12.7, 6.987, 88
2 2 -1, 24.0, 3.703, 100
1 1 2, 26.1, 3.409, 64
1 1 -3, 27.0, 3.308, 56
1 3 1, 27.1, 3.291, 96
4 0 -4, 44.8, 2.021, 43



9.
Structure and calculated X-ray diffraction stick pattern of FePdI4 (a PBE-relaxed structure; Cu Kα, 1.54184 Å).

Atomic structure:
Lattice parameters (Å, degrees): 8.2835 11.3592 10.6413 90.00 90.00 90.00
Space group C222_1 (No. 20)
Inequivalent atoms, fractional coordinates:
Fe1 0.0000 0.1764 0.2500 (multiplicity 4)
Pd1 0.1719 0.5000 0.5000 (multiplicity 4)
I1 0.0382 0.2860 0.4588 (multiplicity 8)
I2 0.2464 0.4535 0.7382 (multiplicity 8)

Most intense lines, 2θ from 5° to 70°, sorted by position:
index, 2theta, d [Å], I_rel
1 1 1, 15.6, 5.666, 83
0 2 2, 22.9, 3.883, 38
2 2 0, 26.6, 3.346, 100
2 0 2, 27.3, 3.269, 45
2 2 4, 43.5, 2.082, 33
1 1 5, 44.7, 2.027, 37



10.
Structure and calculated X-ray diffraction stick pattern of FePdI6 (a PBE-relaxed structure; Cu Kα, 1.54184 Å).

Atomic structure:
Lattice parameters (Å, degrees): 7.4656 12.8398 7.7789 90.00 113.32 90.00
Space group C2/m (No. 12)
Inequivalent atoms, fractional coordinates:
Fe1 0.0000 0.0000 0.0000 (multiplicity 2)
Pd1 0.0000 0.0000 0.5000 (multiplicity 2)
I1 0.0541 0.1448 0.2853 (multiplicity 8)
I2 0.1035 0.5000 0.8749 (multiplicity 4)

Most intense lines, 2θ from 5° to 70°, sorted by position:
index, 2theta, d [Å], I_rel
0 2 0, 13.8, 6.420, 53
1 1 0, 14.6, 6.048, 71
1 1 1, 22.3, 3.981, 83
1 3 0, 24.5, 3.631, 67
2 0 0, 26.0, 3.428, 52
1 3 -2, 31.2, 2.864, 100



11.
Structure and calculated X-ray diffraction stick pattern of Pm2FeI (a PBE-relaxed structure; Cu Kα, 1.54184 Å).

Atomic structure:
Lattice parameters (Å, degrees): 4.0147 4.0147 24.6561 90.00 90.00 120.00
Space group R-3m (No. 166, hexagonal axes)
Inequivalent atoms, fractional coordinates:
Pm1 0.0000 0.0000 0.2296 (multiplicity 6)
Fe1 0.0000 0.0000 0.5000 (multiplicity 3)
I1 0.0000 0.0000 0.0000 (multiplicity 3)

Most intense lines, 2θ from 5° to 70°, sorted by position:
index, 2theta, d [Å], I_rel
1 0 4, 29.5, 3.028, 100
0 1 5, 31.5, 2.842, 25
0 1 8, 39.1, 2.306, 27
1 1 0, 45.2, 2.008, 38
0 2 4, 54.9, 1.673, 17
1 1 9, 56.9, 1.619, 18



12.
Structure and calculated X-ray diffraction stick pattern of FePtI5 (a PBE-relaxed structure; Cu Kα, 1.54184 Å).

Atomic structure:
Lattice parameters (Å, degrees): 10.5419 10.3072 11.2256 90.00 115.89 90.00
Space group C2/c (No. 15)
Inequivalent atoms, fractional coordinates:
Fe1 0.0000 0.0355 0.2500 (multiplicity 4)
Pt1 0.2500 0.2500 0.0000 (multiplicity 4)
I1 0.0000 0.2345 0.7500 (multiplicity 4)
I2 0.0723 0.2095 0.1210 (multiplicity 8)
I3 0.2350 0.4973 0.5424 (multiplicity 8)

Most intense lines, 2θ from 5° to 70°, sorted by position:
index, 2theta, d [Å], I_rel
1 1 -1, 12.9, 6.865, 84
1 1 1, 17.6, 5.038, 100
2 0 -2, 19.3, 4.601, 50
3 1 -3, 30.4, 2.940, 57
2 0 2, 31.0, 2.885, 68
0 4 0, 34.8, 2.577, 41



13.
Structure and calculated X-ray diffraction stick pattern of PuFe2I8 (a PBE-relaxed structure; Cu Kα, 1.54184 Å).

Atomic structure:
Lattice parameters (Å, degrees): 13.6737 11.2259 7.0715 90.00 94.26 90.00
Space group C2/m (No. 12)
Inequivalent atoms, fractional coordinates:
Pu1 0.0000 0.0000 0.0000 (multiplicity 2)
Fe1 0.1953 0.0000 0.6449 (multiplicity 4)
I1 0.1018 0.1879 0.7602 (multiplicity 8)
I2 0.1293 0.5000 0.2289 (multiplicity 4)
I3 0.1920 0.0000 0.2747 (multiplicity 4)

Most intense lines, 2θ from 5° to 70°, sorted by position:
index, 2theta, d [Å], I_rel
1 1 0, 10.2, 8.667, 75
0 2 0, 15.8, 5.613, 31
2 2 -1, 23.6, 3.772, 100
3 1 1, 25.4, 3.512, 47
0 4 0, 31.9, 2.803, 41
5 3 0, 40.9, 2.204, 33